# ScNiSbPt
Computed XRD peak list, λ = 1.5418 Å (Cu Kα). Input: DFT lattice parameters and positions (GGA-PBE).
Kinematic intensities with the Lorentz-polarization factor, no thermal factor.

```
data_ScNiSbPt
_chemical_formula_sum 'Sc4 Ni4 Sb4 Pt4'
_cell_length_a 6.492
_cell_length_b 6.492
_cell_length_c 6.492
_cell_angle_alpha 90.00
_cell_angle_beta 90.00
_cell_angle_gamma 90.00
_space_group_name_H-M_alt 'F -4 3 m'
_space_group_IT_number 216
_space_group_name_Hall 'F -4 2 3'
loop_
_atom_site_label
_atom_site_fract_x
_atom_site_fract_y
_atom_site_fract_z
Sc1 0.000 0.000 0.000
Ni1 0.250 0.250 0.250
Sb1 0.000 0.000 0.500
Pt1 0.250 0.250 0.750
```

Main lines, by angle (2θ from 15° to 90°):
d/Å  2θ (°)  intensity  hkl
3.748  23.74  29  1 1 1
3.246  27.48  6  2 0 0
2.295  39.25  100  2 2 0
1.957  46.39  16  3 1 1
1.623  56.72  17  4 0 0
1.489  62.35  7  3 3 1
1.325  71.15  34  4 2 2
1.148  84.41  11  4 4 0